(1)
Sr2TiFeO6: theoretical XRD peak list (copper Kα), based on a cell relaxed with PBE+U.

Main lines, low angle first (10 to 90 degrees two-theta):
2θ/deg  d_spacing  I_rel
32.12  2.787  100
32.21  2.779  50
39.65  2.273  25
45.92  1.976  20
46.10  1.969  20
46.29  1.961  20
57.20  1.610  19
57.32  1.608  19
57.44  1.604  19
67.40  1.389  11

Crystal structure
Lattice parameters (Å, degrees): 11.1581 11.1581 3.9223 90.00 90.00 90.21
Sites, in units of the cell vectors:
Sr (0.1219, 0.8781, 0.0000)
Sr (0.1263, 0.3705, 0.0000)
Sr (0.3705, 0.1263, 0.0000)
Sr (0.3780, 0.6220, 0.0000)
Sr (0.6220, 0.3780, 0.0000)
Sr (0.6295, 0.8737, 0.0000)
Sr (0.8737, 0.6295, 0.0000)
Sr (0.8781, 0.1219, 0.0000)
Ti (0.1267, 0.6234, 0.5000)
Ti (0.3766, 0.8733, 0.5000)
Ti (0.6234, 0.1267, 0.5000)
Ti (0.8733, 0.3766, 0.5000)
Fe (0.1249, 0.1249, 0.5000)
Fe (0.3758, 0.3758, 0.5000)
Fe (0.6242, 0.6242, 0.5000)
Fe (0.8751, 0.8751, 0.5000)
O (0.0000, 0.0000, 0.5000)
O (0.0000, 0.5000, 0.5000)
O (0.0084, 0.2478, 0.5000)
O (0.1196, 0.6303, 0.0000)
O (0.1269, 0.1269, 0.0000)
O (0.2434, 0.7566, 0.5000)
O (0.2478, 0.0084, 0.5000)
O (0.2481, 0.5079, 0.5000)
O (0.2532, 0.2532, 0.5000)
O (0.3697, 0.8804, 0.0000)
O (0.3756, 0.3756, 0.0000)
O (0.4921, 0.7519, 0.5000)
O (0.5000, 0.0000, 0.5000)
O (0.5000, 0.5000, 0.5000)
O (0.5079, 0.2481, 0.5000)
O (0.6244, 0.6244, 0.0000)
O (0.6303, 0.1196, 0.0000)
O (0.7468, 0.7468, 0.5000)
O (0.7519, 0.4921, 0.5000)
O (0.7522, 0.9916, 0.5000)
O (0.7566, 0.2434, 0.5000)
O (0.8731, 0.8731, 0.0000)
O (0.8804, 0.3697, 0.0000)
O (0.9916, 0.7522, 0.5000)

(2)
Ba3MoO6: theoretical XRD peak list (copper Kα), based on a cell relaxed with PBE+U.

Main lines, low angle first (10 to 90 degrees two-theta):
2θ/deg  d_spacing  I_rel
28.11  3.174  100
34.61  2.592  3
40.18  2.244  29
43.96  2.060  1
49.75  1.833  40
58.12  1.587  18
65.79  1.420  19
73.01  1.296  6
79.97  1.200  22
86.78  1.122  3

Crystal structure
Lattice parameters (Å, degrees): 6.3483 6.3483 6.3483 60.00 60.00 60.00
Sites, in units of the cell vectors:
Ba (0.0000, 0.0000, 0.0000)
Ba (0.2500, 0.2500, 0.2500)
Ba (0.7500, 0.7500, 0.7500)
Mo (0.5000, 0.5000, 0.5000)
O (0.2827, 0.2827, 0.7173)
O (0.2827, 0.7173, 0.2827)
O (0.2827, 0.7173, 0.7173)
O (0.7173, 0.2827, 0.2827)
O (0.7173, 0.2827, 0.7173)
O (0.7173, 0.7173, 0.2827)

(3)
CaFe2Sb2P6O24: theoretical XRD peak list (copper Kα), based on a cell relaxed with PBE+U.

Main lines, low angle first (10 to 90 degrees two-theta):
2θ/deg  d_spacing  I_rel
11.81  7.493  32
14.45  6.129  33
19.93  4.456  70
21.04  4.222  81
24.20  3.678  100
29.14  3.065  51
31.94  2.802  86
36.88  2.437  31
49.57  1.839  27
63.32  1.469  27

Crystal structure
Lattice parameters (Å, degrees): 8.9389 8.9389 8.9389 56.37 56.37 56.37
Sites, in units of the cell vectors:
Ca (0.0000, 0.0000, 0.0000)
Fe (0.1469, 0.1469, 0.1469)
Fe (0.8531, 0.8531, 0.8531)
Sb (0.3522, 0.3522, 0.3522)
Sb (0.6478, 0.6478, 0.6478)
P (0.0384, 0.7533, 0.4592)
P (0.2467, 0.5408, 0.9616)
P (0.4592, 0.0384, 0.7533)
P (0.5408, 0.9616, 0.2467)
P (0.7533, 0.4592, 0.0384)
P (0.9616, 0.2467, 0.5408)
O (0.0105, 0.7979, 0.6148)
O (0.1083, 0.8913, 0.2536)
O (0.1087, 0.7464, 0.8917)
O (0.1575, 0.2248, 0.5258)
O (0.1845, 0.5408, 0.4843)
O (0.2021, 0.3852, 0.9895)
O (0.2248, 0.5258, 0.1575)
O (0.2536, 0.1083, 0.8913)
O (0.3852, 0.9895, 0.2021)
O (0.4592, 0.5157, 0.8155)
O (0.4742, 0.8425, 0.7752)
O (0.4843, 0.1845, 0.5408)
O (0.5157, 0.8155, 0.4592)
O (0.5258, 0.1575, 0.2248)
O (0.5408, 0.4843, 0.1845)
O (0.6148, 0.0105, 0.7979)
O (0.7464, 0.8917, 0.1087)
O (0.7752, 0.4742, 0.8425)
O (0.7979, 0.6148, 0.0105)
O (0.8155, 0.4592, 0.5157)
O (0.8425, 0.7752, 0.4742)
O (0.8913, 0.2536, 0.1083)
O (0.8917, 0.1087, 0.7464)
O (0.9895, 0.2021, 0.3852)